For SrMoSO2, the PBE+U geometry in Alexandria gives the computed powder X-ray diffraction pattern in this record (Cu Kα (λ = 1.5418 Å)).
Neutral-atom scattering factors, no anomalous dispersion.

Largest 6 diffraction maxima, low angle first, 10 to 90 degrees two-theta:
2θ/deg	Rel. int.	(hkl)
27.58	100	1 0 1
31.23	58	1 1 0
40.29	46	1 0 2
44.76	38	2 0 0
53.38	32	2 1 1
61.77	25	2 1 2

Structural model:
a b c (Å): 4.050 4.050 5.373
angles (deg): 90.00 90.00 90.00
Atoms (fractional coordinates):
Sr  0.000  0.000  0.000
Mo  0.500  0.500  0.372
S  0.500  0.500  0.826
O  0.000  0.500  0.316
O  0.500  0.000  0.316